1.
For Rb3CdSe2, a structure optimized by DFT (GGA-PBE) gives the computed X-ray powder pattern in this record (λ = 1.5418 Å (Cu Kα)).

Structure:
Cell: 9.664 9.664 9.664 Å, 131.58 74.91 126.63°
Fractional positions:
Rb 0.017 0.750 0.267
Rb 0.250 0.250 0.000
Rb 0.483 0.750 0.733
Rb 0.517 0.250 0.267
Rb 0.750 0.750 0.000
Rb 0.983 0.250 0.733
Cd 0.000 0.500 0.500
Cd 0.500 0.000 0.500
Se 0.124 0.244 0.368
Se 0.376 0.744 0.120
Se 0.624 0.256 0.880
Se 0.876 0.756 0.632

Most intense lines, 15 to 90 degrees two-theta, in order of falling intensity:
| Position (°2θ) | I/Imax |
| --- | --- |
| 32.5 | 100 |
| 19.1 | 73 |
| 29.2 | 67 |
| 24.1 | 52 |
| 53.8 | 46 |
| 30.5 | 41 |
| 31.1 | 35 |
| 23.6 | 34 |
| 32.8 | 28 |
| 41.6 | 26 |

***

2.
For Ni6Pt4W, a structure optimized by DFT (GGA-PBE) gives the computed X-ray powder pattern in this record (λ = 1.5418 Å (Cu Kα)).

Structure:
Cell: 8.156 8.156 2.646 Å, 90.00 90.00 120.00°
Fractional positions:
Ni 0.175 0.349 0.000
Ni 0.175 0.825 0.000
Ni 0.510 0.019 0.500
Ni 0.510 0.490 0.500
Ni 0.651 0.825 0.000
Ni 0.981 0.490 0.500
Pt 0.333 0.667 0.500
Pt 0.358 0.179 0.000
Pt 0.821 0.179 0.000
Pt 0.821 0.642 0.000
W 0.000 0.000 0.500

Most intense lines, 15 to 90 degrees two-theta, in order of falling intensity:
| Position (°2θ) | I/Imax |
| --- | --- |
| 44.4 | 100 |
| 25.2 | 65 |
| 42.7 | 62 |
| 40.7 | 48 |
| 88.0 | 28 |
| 52.0 | 28 |
| 33.6 | 24 |
| 48.4 | 22 |
| 70.7 | 20 |
| 36.3 | 18 |

***

3.
For Ce6TmS12, a structure optimized by DFT (GGA-PBE) gives the computed X-ray powder pattern in this record (λ = 1.5418 Å (Cu Kα)).

Structure:
Cell: 8.011 8.011 8.011 Å, 99.61 99.61 99.61°
Fractional positions:
Ce 0.119 0.800 0.635
Ce 0.200 0.365 0.881
Ce 0.365 0.881 0.200
Ce 0.635 0.119 0.800
Ce 0.800 0.635 0.119
Ce 0.881 0.200 0.365
Tm 0.500 0.500 0.500
S 0.067 0.918 0.323
S 0.082 0.677 0.933
S 0.178 0.435 0.552
S 0.323 0.067 0.918
S 0.435 0.552 0.178
S 0.448 0.822 0.565
S 0.552 0.178 0.435
S 0.565 0.448 0.822
S 0.677 0.933 0.082
S 0.822 0.565 0.448
S 0.918 0.323 0.067
S 0.933 0.082 0.677

Most intense lines, 15 to 90 degrees two-theta, in order of falling intensity:
| Position (°2θ) | I/Imax |
| --- | --- |
| 23.6 | 100 |
| 38.9 | 63 |
| 46.0 | 41 |
| 27.3 | 17 |
| 61.8 | 13 |
| 70.5 | 11 |
| 48.2 | 9 |
| 34.4 | 8 |
| 56.3 | 7 |
| 34.8 | 6 |

***

4.
For Dy4RuPt, a structure optimized by DFT (GGA-PBE) gives the computed X-ray powder pattern in this record (λ = 1.5418 Å (Cu Kα)).

Structure:
Cell: 6.891 6.857 6.854 Å, 90.00 91.51 90.00°
Fractional positions:
Dy 0.161 0.166 0.174
Dy 0.161 0.334 0.674
Dy 0.327 0.664 0.158
Dy 0.327 0.836 0.658
Dy 0.673 0.164 0.342
Dy 0.673 0.336 0.842
Dy 0.839 0.666 0.326
Dy 0.839 0.834 0.826
Ru 0.000 0.000 0.500
Ru 0.000 0.500 0.000
Pt 0.500 0.000 0.000
Pt 0.500 0.500 0.500

Most intense lines, 15 to 90 degrees two-theta, in order of falling intensity:
| Position (°2θ) | I/Imax |
| --- | --- |
| 29.0 | 100 |
| 29.1 | 98 |
| 29.4 | 75 |
| 31.6 | 67 |
| 43.9 | 61 |
| 37.0 | 45 |
| 37.1 | 44 |
| 22.2 | 37 |
| 49.5 | 36 |
| 22.6 | 36 |

***

5.
For Cs2KPrBr6, a structure optimized by DFT (GGA-PBE) gives the computed X-ray powder pattern in this record (λ = 1.5418 Å (Cu Kα)).

Structure:
Cell: 8.590 8.590 8.590 Å, 60.00 60.00 60.00°
Fractional positions:
Cs 0.250 0.250 0.250
Cs 0.750 0.750 0.750
K 0.000 0.000 0.000
Pr 0.500 0.500 0.500
Br 0.261 0.261 0.739
Br 0.261 0.739 0.261
Br 0.261 0.739 0.739
Br 0.739 0.261 0.261
Br 0.739 0.261 0.739
Br 0.739 0.739 0.261

Most intense lines, 15 to 90 degrees two-theta, in order of falling intensity:
| Position (°2θ) | I/Imax |
| --- | --- |
| 29.4 | 100 |
| 42.1 | 73 |
| 25.4 | 72 |
| 20.7 | 44 |
| 49.8 | 32 |
| 69.2 | 31 |
| 52.2 | 25 |
| 76.9 | 23 |
| 36.2 | 20 |
| 67.2 | 12 |